Starting from a GGA-PBE-relaxed structure, the powder diffractogram of NbHO3 was simulated for copper Kα.

Structure:
```
data_NbHO3
_cell_length_a 6.704
_cell_length_b 6.725
_cell_length_c 6.742
_cell_angle_alpha 109.23
_cell_angle_beta 109.29
_cell_angle_gamma 109.22
_space_group_name_H-M_alt 'P 1'
_space_group_IT_number 1
loop_
_space_group_symop_operation_xyz
'x,y,z'
loop_
_atom_site_label
_atom_site_type_symbol
_atom_site_fract_x
_atom_site_fract_y
_atom_site_fract_z
Nb1 Nb 0.000 0.000 0.000
Nb2 Nb 0.025 0.501 0.514
Nb3 Nb 0.480 0.995 0.488
Nb4 Nb 0.530 0.491 0.003
H1 H 0.181 0.021 0.713
H2 H 0.236 0.661 0.019
H3 H 0.545 0.704 0.653
H4 H 0.796 0.024 0.329
O1 O 0.004 0.672 0.778
O2 O 0.194 0.149 0.852
O3 O 0.205 0.789 0.494
O4 O 0.288 0.053 0.256
O5 O 0.305 0.493 0.680
O6 O 0.371 0.667 0.146
O7 O 0.584 0.273 0.766
O8 O 0.667 0.852 0.671
O9 O 0.697 0.470 0.263
O10 O 0.785 0.785 0.071
O11 O 0.787 0.147 0.449
O12 O 0.995 0.268 0.175
```

Top 10 peaks for 10° ≤ 2θ ≤ 90°, sorted by position:
Position (°2θ)	I_rel	index
22.85	100	1 -1 1
32.35	16	0 2 0
32.50	7	2 0 0
32.67	22	2 0 -2
46.59	6	-2 2 2
46.71	12	2 2 -2
52.29	10	-1 3 1
52.54	6	3 1 -1
52.74	16	-3 1 3
58.35	5	2 -4 2



Starting from a GGA-PBE-relaxed structure, the powder diffractogram of Li2HfO3 was simulated for copper Kα.

Structure:
```
data_Li2HfO3
_cell_length_a 9.619
_cell_length_b 4.180
_cell_length_c 3.162
_cell_angle_alpha 90.00
_cell_angle_beta 102.05
_cell_angle_gamma 90.00
_space_group_name_H-M_alt 'C 1 2/m 1'
_space_group_IT_number 12
loop_
_space_group_symop_operation_xyz
'x,y,z'
'-x,-y,-z'
'-x,y,-z'
'x,-y,z'
'x+1/2,y+1/2,z'
'-x+1/2,-y+1/2,-z'
'-x+1/2,y+1/2,-z'
'x+1/2,-y+1/2,z'
loop_
_atom_site_label
_atom_site_type_symbol
_atom_site_fract_x
_atom_site_fract_y
_atom_site_fract_z
Li1 Li 0.164 0.000 0.099
Hf1 Hf 0.000 0.500 0.500
O1 O 0.000 0.000 0.500
O2 O 0.146 0.500 0.095
```

Top 10 peaks for 10° ≤ 2θ ≤ 90°, sorted by position:
Position (°2θ)	I_rel	index
18.87	87	2 0 0
23.28	100	1 1 0
28.87	23	0 0 1
31.12	26	2 0 -1
35.79	42	3 1 0
38.01	24	2 0 1
38.99	22	1 1 1
42.44	20	3 1 -1
43.24	35	0 2 0
62.84	18	4 2 -1



Starting from a GGA-PBE-relaxed structure, the powder diffractogram of YCu3Ag4O12 was simulated for copper Kα.

Structure:
```
data_YCu3Ag4O12
_cell_length_a 7.769
_cell_length_b 7.769
_cell_length_c 7.769
_cell_angle_alpha 90.00
_cell_angle_beta 90.00
_cell_angle_gamma 90.00
_space_group_name_H-M_alt 'I m -3'
_space_group_IT_number 204
_space_group_name_Hall '-I 2 2 3'
loop_
_atom_site_label
_atom_site_type_symbol
_atom_site_fract_x
_atom_site_fract_y
_atom_site_fract_z
Y1 Y 0.000 0.000 0.000
Cu1 Cu 0.000 0.000 0.500
Ag1 Ag 0.250 0.250 0.250
O1 O 0.000 0.310 0.155
```

Top 10 peaks for 10° ≤ 2θ ≤ 90°, sorted by position:
Position (°2θ)	I_rel	index
22.89	6	2 0 0
32.60	100	2 2 0
36.57	3	3 0 1
43.59	2	3 1 2
46.77	22	4 0 0
52.69	4	4 2 0
58.17	46	4 2 2
68.29	11	4 4 0
77.74	16	6 2 0
86.86	4	4 4 4